The following is a computed PXRD pattern of Tb4Nd2Sc3. It was derived from the PBE geometry in Alexandria, using Cu Kα (weighted mean of Kα1 and Kα2).

Structure:
abc: 3.5145 3.5145 25.6844
angles: 90.00 90.00 120.00
Space group P3m1 (No. 156)
Inequivalent atoms, fractional coordinates:
Tb (0.0000, 0.0000, 0.0000) (multiplicity 1)
Tb (0.0000, 0.0000, 0.2065) (multiplicity 1)
Tb (0.3333, 0.6667, 0.3212) (multiplicity 1)
Tb (0.3333, 0.6667, 0.5287) (multiplicity 1)
Nd (0.0000, 0.0000, 0.6479) (multiplicity 1)
Nd (0.0000, 0.0000, 0.8609) (multiplicity 1)
Sc (0.0000, 0.0000, 0.4252) (multiplicity 1)
Sc (0.3333, 0.6667, 0.1022) (multiplicity 1)
Sc (0.3333, 0.6667, 0.7557) (multiplicity 1)

Top 10 peaks for 2θ from 10° to 80°, sorted by position:
2θ (°)	I_rel	h k l
20.75	27	0 0 6
29.34	47	1 0 0
29.55	31	0 1 1
31.34	34	0 0 9
32.56	45	0 1 4
34.24	100	0 1 5
43.47	24	1 0 9
52.04	32	1 1 0
58.77	28	0 1 14
62.02	30	1 1 9

=====

The following is a computed PXRD pattern of CeCoH5. It was derived from the PBE geometry in Alexandria, using Cu Kα (weighted mean of Kα1 and Kα2).

Structure:
abc: 4.5396 7.7831 6.7512
angles: 90.00 91.94 90.00
Space group C2/c (No. 15)
Inequivalent atoms, fractional coordinates:
Ce (0.0000, 0.1674, 0.2500) (multiplicity 4)
Co (0.0000, 0.5000, 0.0000) (multiplicity 4)
H (0.0000, 0.4807, 0.2500) (multiplicity 4)
H (0.0522, 0.3077, 0.5571) (multiplicity 8)
H (0.1783, 0.0591, 0.9551) (multiplicity 8)

Top 10 peaks for 2θ from 10° to 80°, sorted by position:
2θ (°)	I_rel	h k l
25.95	89	1 1 -1
26.44	100	0 2 1
26.63	83	1 1 1
34.57	50	1 1 -2
35.21	48	0 2 2
35.62	44	1 1 2
39.73	41	2 0 0
40.03	78	1 3 0
48.73	33	0 4 1
54.41	29	0 0 4

=====

The following is a computed PXRD pattern of Pm7Pr3Er. It was derived from the PBE geometry in Alexandria, using Cu Kα (weighted mean of Kα1 and Kα2).

Structure:
abc: 6.5262 7.8254 7.8349
angles: 82.08 86.66 86.74
Space group P-1 (No. 2)
Inequivalent atoms, fractional coordinates:
Pm (0.0000, 0.0000, 0.0000) (multiplicity 1)
Pm (0.2146, 0.2589, 0.2589) (multiplicity 2)
Pm (0.2617, 0.5874, 0.9300) (multiplicity 2)
Pm (0.2617, 0.9301, 0.5875) (multiplicity 2)
Pr (0.0000, 0.3270, 0.6729) (multiplicity 2)
Pr (0.5000, 0.5000, 0.5000) (multiplicity 1)
Er (0.5000, 0.0000, 0.0000) (multiplicity 1)

Top 10 peaks for 2θ from 10° to 80°, sorted by position:
2θ (°)	I_rel	h k l
30.36	100	0 2 2
30.70	61	1 1 -2
32.44	40	-2 1 1
36.80	37	1 3 0
49.86	29	-1 4 1
53.45	14	0 3 -3
56.57	16	-2 3 3
56.77	13	3 0 -3
62.13	15	1 5 2
62.69	13	0 1 -5

=====

The following is a computed PXRD pattern of La2Al5IrPd2. It was derived from the PBE geometry in Alexandria, using Cu Kα (weighted mean of Kα1 and Kα2).

Structure:
abc: 10.6353 10.6353 3.4106
angles: 90.00 90.00 90.00
Space group P4/mbm (No. 127)
Inequivalent atoms, fractional coordinates:
La (0.1853, 0.3147, 0.0000) (multiplicity 4)
Al (0.0000, 0.5000, 0.5000) (multiplicity 2)
Al (0.0465, 0.8172, 0.5000) (multiplicity 8)
Ir (0.0000, 0.0000, 0.0000) (multiplicity 2)
Pd (0.1216, 0.6216, 0.0000) (multiplicity 4)

Top 10 peaks for 2θ from 10° to 80°, sorted by position:
2θ (°)	I_rel	h k l
23.66	32	2 2 0
26.13	46	0 0 1
26.50	66	3 1 0
30.30	16	3 2 0
34.78	31	4 1 0
35.54	35	2 2 1
37.56	100	3 1 1
40.43	29	3 2 1
53.75	14	0 0 2
59.40	15	6 1 1

=====

The following is a computed PXRD pattern of Pu6SnRu5. It was derived from the PBE geometry in Alexandria, using Cu Kα (weighted mean of Kα1 and Kα2).

Structure:
abc: 5.5265 6.1038 7.3983
angles: 78.22 80.40 83.16
Space group P-1 (No. 2)
Inequivalent atoms, fractional coordinates:
Pu (0.0400, 0.2544, 0.4780) (multiplicity 2)
Pu (0.2175, 0.2477, 0.8944) (multiplicity 2)
Pu (0.3077, 0.7836, 0.8287) (multiplicity 2)
Sn (0.5000, 0.5000, 0.5000) (multiplicity 1)
Ru (0.2302, 0.9564, 0.2140) (multiplicity 2)
Ru (0.2553, 0.5175, 0.1688) (multiplicity 2)
Ru (0.5000, 0.0000, 0.5000) (multiplicity 1)

Top 10 peaks for 2θ from 10° to 80°, sorted by position:
2θ (°)	I_rel	h k l
27.75	40	1 0 2
30.03	24	0 2 0
33.55	74	2 0 1
36.32	100	1 2 2
36.75	97	-1 2 1
37.11	28	2 0 -1
37.66	73	0 0 3
38.25	61	1 2 -1
38.57	22	2 0 2
45.91	42	1 -2 2

=====

The following is a computed PXRD pattern of AcCeAl2Ga2. It was derived from the PBE geometry in Alexandria, using Cu Kα (weighted mean of Kα1 and Kα2).

Structure:
abc: 4.3756 4.3756 8.9226
angles: 90.00 90.00 120.00
Space group P-3m1 (No. 164)
Inequivalent atoms, fractional coordinates:
Ac (0.0000, 0.0000, 0.0000) (multiplicity 1)
Ce (0.0000, 0.0000, 0.5000) (multiplicity 1)
Al (0.3333, 0.6667, 0.7315) (multiplicity 2)
Ga (0.3333, 0.6667, 0.2775) (multiplicity 2)

Top 10 peaks for 2θ from 10° to 80°, sorted by position:
2θ (°)	I_rel	h k l
23.48	32	1 0 0
25.54	12	0 1 1
30.96	100	1 0 2
40.44	11	0 0 4
41.26	35	1 1 0
47.29	12	0 1 4
52.47	23	0 2 2
59.15	21	1 1 4
67.68	9	1 0 6
68.85	20	2 1 2

=====

The following is a computed PXRD pattern of Ru5Br4. It was derived from the PBE geometry in Alexandria, using Cu Kα (weighted mean of Kα1 and Kα2).

Structure:
abc: 10.9527 10.9527 3.1428
angles: 90.00 90.00 90.00
Space group I4/mmm (No. 139)
Inequivalent atoms, fractional coordinates:
Ru (0.0000, 0.0000, 0.0000) (multiplicity 2)
Ru (0.1307, 0.1307, 0.5000) (multiplicity 8)
Br (0.0000, 0.2837, 0.0000) (multiplicity 8)

Top 10 peaks for 2θ from 10° to 80°, sorted by position:
2θ (°)	I_rel	h k l
11.43	100	1 1 0
22.97	15	2 2 0
34.75	40	3 3 0
37.77	100	3 0 1
44.67	54	4 1 1
46.93	30	4 4 0
50.81	12	5 0 1
59.70	12	7 1 0
76.37	30	7 4 1
78.37	13	4 4 2

=====

The following is a computed PXRD pattern of Ba2SnIrO6. It was derived from the PBE geometry in Alexandria, using Cu Kα (weighted mean of Kα1 and Kα2).

Structure:
abc: 5.3733 5.7014 6.4829
angles: 115.88 110.17 90.07
Space group P-1 (No. 2)
Inequivalent atoms, fractional coordinates:
Ba (0.2222, 0.2376, 0.4748) (multiplicity 2)
Sn (0.0000, 0.5000, 0.0000) (multiplicity 1)
Ir (0.5000, 0.0000, 0.0000) (multiplicity 1)
O (0.2208, 0.1764, 0.8882) (multiplicity 2)
O (0.2244, 0.7084, 0.8869) (multiplicity 2)
O (0.2438, 0.6785, 0.3585) (multiplicity 2)

Top 10 peaks for 2θ from 10° to 80°, sorted by position:
2θ (°)	I_rel	h k l
27.40	100	1 1 0
29.05	99	1 1 -2
31.38	37	0 2 -1
33.27	34	0 0 2
33.47	30	2 0 -1
46.49	30	2 -2 0
46.57	18	2 2 -2
53.47	17	1 3 -1
56.54	16	2 -2 2
58.07	15	-3 1 2

=====

The following is a computed PXRD pattern of TmScCO. It was derived from the PBE geometry in Alexandria, using Cu Kα (weighted mean of Kα1 and Kα2).

Structure:
abc: 3.0431 3.1154 11.4534
angles: 90.00 90.00 90.00
Space group Imm2 (No. 44)
Inequivalent atoms, fractional coordinates:
Tm (0.0000, 0.0000, 0.0000) (multiplicity 2)
Sc (0.0000, 0.5000, 0.2587) (multiplicity 2)
C (0.0000, 0.5000, 0.8357) (multiplicity 2)
O (0.0000, 0.0000, 0.5832) (multiplicity 2)

Top 10 peaks for 2θ from 10° to 80°, sorted by position:
2θ (°)	I_rel	h k l
15.47	100	0 0 2
29.72	68	0 1 1
30.39	66	1 0 1
31.24	49	0 0 4
37.25	46	0 1 3
37.81	45	1 0 3
44.53	94	1 1 2
49.38	27	0 1 5
49.83	21	1 0 5
64.98	21	1 1 6

=====

The following is a computed PXRD pattern of LiAl2S4. It was derived from the PBE geometry in Alexandria, using Cu Kα (weighted mean of Kα1 and Kα2).

Structure:
abc: 4.9985 4.9985 6.2400
angles: 90.00 90.00 90.00
Space group P-42m (No. 111)
Inequivalent atoms, fractional coordinates:
Li (0.0000, 0.0000, 0.0000) (multiplicity 1)
Al (0.0000, 0.5000, 0.5000) (multiplicity 2)
S (0.2571, 0.2571, 0.2725) (multiplicity 4)

Top 10 peaks for 2θ from 10° to 80°, sorted by position:
2θ (°)	I_rel	h k l
14.19	34	0 0 1
25.20	8	1 1 0
29.03	100	1 1 1
35.93	7	2 0 0
38.49	8	1 1 2
46.56	40	2 0 2
50.94	15	1 1 3
51.73	15	2 2 0
60.41	20	3 1 1
75.55	9	3 1 3

=====

Number 7 is which compound? Ru5Br4

=====

Which formula does entry 3 have? Pm7Pr3Er